Starting from DFT lattice parameters and positions (PBE), the powder diffractogram of Ac2YS2O2 was calculated for Cu Ka.
No peak broadening, texture or thermal motion is included.

Structural model:
abc: 4.387 4.387 15.597
angles: 90.00 90.00 90.00
Space group I4/mmm (No. 139)
Inequivalent atoms, fractional coordinates:
Ac 0.000 0.000 0.134 [4 per cell]
Y 0.000 0.000 0.500 [2 per cell]
S 0.000 0.000 0.325 [4 per cell]
O 0.000 0.500 0.000 [4 per cell]

Principal peaks in the range 10° ≤ 2θ ≤ 90°, low angle first:
d (Å), I (rel.)
4.223, 34
3.899, 26
3.353, 100
3.102, 91
2.542, 42
2.428, 45
2.194, 43
1.836, 39
1.661, 23
1.149, 19

=====

Starting from DFT lattice parameters and positions (PBE), the powder diffractogram of RhC3 was calculated for Cu Ka.
No peak broadening, texture or thermal motion is included.

Structural model:
abc: 4.257 13.417 2.575
angles: 90.00 90.00 90.00
Space group Cmcm (No. 63)
Inequivalent atoms, fractional coordinates:
Rh 0.000 0.085 0.250 [4 per cell]
C 0.000 0.477 0.750 [4 per cell]
C 0.168 0.241 0.250 [8 per cell]

Principal peaks in the range 10° ≤ 2θ ≤ 90°, low angle first:
d (Å), I (rel.)
6.709, 35
4.058, 100
2.404, 37
2.270, 32
2.236, 22
2.174, 22
2.129, 15
2.042, 19
1.976, 37
1.594, 19

=====

Starting from DFT lattice parameters and positions (PBE), the powder diffractogram of Ac3La11 was calculated for Cu Ka.
No peak broadening, texture or thermal motion is included.

Structural model:
abc: 5.959 11.453 15.948
angles: 90.00 90.00 90.00
Space group Immm (No. 71)
Inequivalent atoms, fractional coordinates:
Ac 0.000 0.000 0.000 [2 per cell]
Ac 0.000 0.312 0.000 [4 per cell]
La 0.000 0.000 0.500 [2 per cell]
La 0.000 0.159 0.228 [8 per cell]
La 0.000 0.336 0.396 [8 per cell]
La 0.000 0.500 0.189 [4 per cell]

Principal peaks in the range 10° ≤ 2θ ≤ 90°, low angle first:
d (Å), I (rel.)
3.987, 9
3.261, 8
3.183, 14
3.101, 20
2.981, 100
2.812, 32
2.148, 15
1.721, 15
1.607, 9
1.579, 12

=====

Starting from DFT lattice parameters and positions (PBE), the powder diffractogram of TbDyGa4 was calculated for Cu Ka.
No peak broadening, texture or thermal motion is included.

Structural model:
abc: 4.260 6.997 8.247
angles: 90.00 90.00 90.00
Space group Imm2 (No. 44)
Inequivalent atoms, fractional coordinates:
Tb 0.000 0.000 0.000 [2 per cell]
Dy 0.000 0.500 0.879 [2 per cell]
Ga 0.000 0.197 0.601 [4 per cell]
Ga 0.000 0.302 0.278 [4 per cell]

Principal peaks in the range 10° ≤ 2θ ≤ 90°, low angle first:
d (Å), I (rel.)
3.785, 15
2.728, 62
2.668, 35
2.569, 100
2.559, 22
2.310, 38
2.244, 21
2.130, 31
1.665, 17
1.452, 25